The following is a computed X-ray diffraction stick pattern of Nd2Ni2B2CN. It was derived from a GGA-PBE-relaxed structure, using Cu Kα (weighted mean of Kα1 and Kα2).

Structural model:
Unit cell a=3.7054 b=3.7054 c=7.4639 alpha=90.00 beta=90.00 gamma=90.00
Atoms (fractional coordinates):
Nd 0.0000 0.0000 0.0000
Nd 0.5000 0.5000 0.3471
Ni 0.0000 0.5000 0.6679
Ni 0.5000 0.0000 0.6679
B 0.0000 0.0000 0.5262
B 0.5000 0.5000 0.8052
C 0.5000 0.5000 0.0066
N 0.0000 0.0000 0.3323

Top 10 peaks for 2θ from 10° to 90°, sorted by position:
(1 0 1), 2θ 26.9, intensity 100
(1 0 2), 2θ 34.1, intensity 59
(1 1 0), 2θ 34.2, intensity 22
(0 0 3), 2θ 36.1, intensity 43
(1 1 1), 2θ 36.3, intensity 67
(1 1 2), 2θ 42.1, intensity 59
(2 0 0), 2θ 49.2, intensity 40
(2 1 1), 2θ 56.9, intensity 27
(2 1 2), 2θ 61.2, intensity 22
(2 0 3), 2θ 62.5, intensity 33

---

The following is a computed X-ray diffraction stick pattern of Tm2B2Pd2CN. It was derived from a GGA-PBE-relaxed structure, using Cu Kα (weighted mean of Kα1 and Kα2).

Structural model:
Unit cell a=3.6922 b=3.6922 c=7.6518 alpha=90.00 beta=90.00 gamma=90.00
Atoms (fractional coordinates):
Tm 0.0000 0.0000 0.0000
Tm 0.5000 0.5000 0.3162
B 0.0000 0.0000 0.4826
B 0.5000 0.5000 0.8242
Pd 0.0000 0.5000 0.6504
Pd 0.5000 0.0000 0.6504
C 0.5000 0.5000 0.0170
N 0.0000 0.0000 0.2968

Top 10 peaks for 2θ from 10° to 90°, sorted by position:
(1 0 1), 2θ 26.8, intensity 80
(1 0 2), 2θ 33.7, intensity 65
(0 0 3), 2θ 35.2, intensity 50
(1 1 1), 2θ 36.4, intensity 100
(1 1 2), 2θ 41.9, intensity 54
(2 0 0), 2θ 49.4, intensity 43
(2 1 1), 2θ 57.1, intensity 22
(1 1 4), 2θ 59.9, intensity 30
(2 1 2), 2θ 61.1, intensity 24
(2 0 3), 2θ 62.1, intensity 38